(1)
# TbZrF7
Theoretical powder XRD pattern, Cu Kα (λ = 1.5418 Å). Input: a DFT-relaxed cell (PBE, the Materials Project).
Intensities are scaled so that the largest is 100.

Crystal structure
Cell: 6.154 5.740 8.335 Å, 90.00 101.90 90.00°
Atoms (fractional coordinates):
Tb1 0.155 0.000 0.184
Tb2 0.845 0.500 0.816
Zr1 0.311 0.990 0.724
Zr2 0.689 0.490 0.276
F1 0.043 0.203 0.714
F2 0.045 0.307 0.023
F3 0.121 0.695 0.718
F4 0.255 0.994 0.475
F5 0.359 0.987 0.973
F6 0.426 0.271 0.268
F7 0.459 0.753 0.260
F8 0.541 0.253 0.740
F9 0.574 0.771 0.732
F10 0.641 0.487 0.027
F11 0.745 0.494 0.525
F12 0.879 0.195 0.282
F13 0.955 0.807 0.977
F14 0.957 0.703 0.286

Principal peaks in the range 2θ = 5–70°, by intensity:
21.4°, rel. 100; 21.8°, rel. 36; 28.4°, rel. 29; 25.4°, rel. 24; 26.8°, rel. 16; 47.1°, rel. 15; 43.4°, rel. 15; 50.0°, rel. 14; 43.0°, rel. 14; 31.2°, rel. 13

=====

(2)
# TcF3
Theoretical powder XRD pattern, Cu Kα (λ = 1.5418 Å). Input: a DFT-relaxed cell (PBE, the Materials Project).
Intensities are scaled so that the largest is 100.

Crystal structure
Cell: 3.070 6.717 6.717 Å, 59.77 90.00 90.00°
Atoms (fractional coordinates):
Tc1 0.000 0.000 0.000
Tc2 0.500 0.315 0.315
F1 0.000 0.071 0.435
F2 0.000 0.433 0.433
F3 0.000 0.435 0.071
F4 0.500 0.237 0.839
F5 0.500 0.839 0.237
F6 0.500 0.859 0.859

Principal peaks in the range 2θ = 5–70°, by intensity:
15.3°, rel. 100; 26.6°, rel. 65; 42.9°, rel. 59; 33.0°, rel. 29; 51.1°, rel. 27; 30.7°, rel. 15; 30.8°, rel. 14; 51.2°, rel. 12; 67.0°, rel. 9; 65.4°, rel. 9

=====

(3)
# TcF4
Theoretical powder XRD pattern, Cu Kα (λ = 1.5418 Å). Input: a DFT-relaxed cell (PBE, the Materials Project).
Intensities are scaled so that the largest is 100.

Crystal structure
Cell: 5.485 10.002 11.782 Å, 90.00 90.00 90.00°
Atoms (fractional coordinates):
Tc1 0.094 0.128 0.176
Tc2 0.094 0.372 0.676
Tc3 0.406 0.628 0.176
Tc4 0.406 0.872 0.676
Tc5 0.594 0.128 0.324
Tc6 0.594 0.372 0.824
Tc7 0.906 0.628 0.324
Tc8 0.906 0.872 0.824
F1 0.044 0.745 0.428
F2 0.044 0.755 0.928
F3 0.091 0.731 0.194
F4 0.091 0.769 0.694
F5 0.219 0.524 0.306
F6 0.219 0.976 0.806
F7 0.232 0.010 0.071
F8 0.232 0.490 0.571
F9 0.268 0.510 0.071
F10 0.268 0.990 0.571
F11 0.281 0.024 0.306
F12 0.281 0.476 0.806
F13 0.409 0.231 0.194
F14 0.409 0.269 0.694
F15 0.456 0.245 0.428
F16 0.456 0.255 0.928
F17 0.544 0.745 0.072
F18 0.544 0.755 0.572
F19 0.591 0.731 0.306
F20 0.591 0.769 0.806
F21 0.719 0.524 0.194
F22 0.719 0.976 0.694
F23 0.732 0.010 0.429
F24 0.732 0.490 0.929
F25 0.768 0.510 0.429
F26 0.768 0.990 0.929
F27 0.781 0.024 0.194
F28 0.781 0.476 0.694
F29 0.909 0.231 0.306
F30 0.909 0.269 0.806
F31 0.956 0.245 0.072
F32 0.956 0.255 0.572

Principal peaks in the range 2θ = 5–70°, by intensity:
19.3°, rel. 100; 15.0°, rel. 37; 23.9°, rel. 32; 39.1°, rel. 23; 29.4°, rel. 22; 22.1°, rel. 18; 44.2°, rel. 16; 19.9°, rel. 15; 33.3°, rel. 13; 42.7°, rel. 12

=====

(4)
# TeF6
Theoretical powder XRD pattern, Cu Kα (λ = 1.5418 Å). Input: a DFT-relaxed cell (PBE, the Materials Project).
Intensities are scaled so that the largest is 100.

Crystal structure
Cell: 5.703 5.703 5.703 Å, 57.64 57.64 57.64°
Atoms (fractional coordinates):
Te1 0.000 0.000 0.000
F1 0.127 0.323 0.777
F2 0.223 0.873 0.677
F3 0.323 0.777 0.127
F4 0.677 0.223 0.873
F5 0.777 0.127 0.323
F6 0.873 0.677 0.223

Principal peaks in the range 2θ = 5–70°, by intensity:
19.7°, rel. 100; 22.5°, rel. 84; 18.7°, rel. 38; 37.8°, rel. 37; 50.9°, rel. 22; 45.9°, rel. 17; 31.4°, rel. 16; 36.8°, rel. 13; 52.5°, rel. 12; 38.3°, rel. 11

=====

(5)
# TeF6
Theoretical powder XRD pattern, Cu Kα (λ = 1.5418 Å). Input: a DFT-relaxed cell (PBE, the Materials Project).
Intensities are scaled so that the largest is 100.

Crystal structure
Cell: 10.110 9.064 5.281 Å, 90.00 90.00 90.00°
Atoms (fractional coordinates):
Te1 0.128 0.250 0.097
Te2 0.372 0.750 0.597
Te3 0.628 0.250 0.403
Te4 0.872 0.750 0.903
F1 0.015 0.250 0.818
F2 0.025 0.105 0.250
F3 0.025 0.395 0.250
F4 0.231 0.105 0.945
F5 0.231 0.395 0.945
F6 0.240 0.250 0.377
F7 0.260 0.750 0.877
F8 0.269 0.605 0.445
F9 0.269 0.895 0.445
F10 0.475 0.605 0.750
F11 0.475 0.895 0.750
F12 0.485 0.750 0.318
F13 0.515 0.250 0.682
F14 0.525 0.105 0.250
F15 0.525 0.395 0.250
F16 0.731 0.105 0.555
F17 0.731 0.395 0.555
F18 0.740 0.250 0.123
F19 0.760 0.750 0.623
F20 0.769 0.605 0.055
F21 0.769 0.895 0.055
F22 0.975 0.605 0.750
F23 0.975 0.895 0.750
F24 0.985 0.750 0.182

Principal peaks in the range 2θ = 5–70°, by intensity:
20.1°, rel. 100; 21.4°, rel. 57; 19.6°, rel. 54; 19.0°, rel. 38; 19.5°, rel. 36; 27.4°, rel. 27; 31.5°, rel. 23; 24.4°, rel. 19; 43.7°, rel. 16; 34.6°, rel. 15

=====

(6)
# ThF4
Theoretical powder XRD pattern, Cu Kα (λ = 1.5418 Å). Input: a DFT-relaxed cell (PBE, the Materials Project).
Intensities are scaled so that the largest is 100.

Crystal structure
Cell: 8.247 8.247 9.144 Å, 123.16 123.16 71.64°
Atoms (fractional coordinates):
Th1 0.197 0.803 0.750
Th2 0.239 0.410 0.236
Th3 0.410 0.239 0.736
Th4 0.590 0.761 0.264
Th5 0.761 0.590 0.764
Th6 0.803 0.197 0.250
F1 0.000 0.500 0.000
F2 0.007 0.261 0.191
F3 0.066 0.653 0.388
F4 0.126 0.129 0.933
F5 0.129 0.126 0.433
F6 0.261 0.007 0.691
F7 0.265 0.453 0.571
F8 0.328 0.555 0.914
F9 0.347 0.934 0.112
F10 0.359 0.641 0.250
F11 0.445 0.672 0.586
F12 0.453 0.265 0.071
F13 0.500 0.000 0.500
F14 0.547 0.735 0.929
F15 0.555 0.328 0.414
F16 0.641 0.359 0.750
F17 0.653 0.066 0.888
F18 0.672 0.445 0.086
F19 0.735 0.547 0.429
F20 0.739 0.993 0.309
F21 0.871 0.874 0.567
F22 0.874 0.871 0.067
F23 0.934 0.347 0.612
F24 0.993 0.739 0.809

Principal peaks in the range 2θ = 5–70°, by intensity:
22.6°, rel. 100; 22.5°, rel. 66; 23.4°, rel. 65; 26.4°, rel. 44; 43.9°, rel. 30; 28.7°, rel. 30; 44.4°, rel. 25; 51.1°, rel. 21; 30.8°, rel. 21; 39.7°, rel. 20